# KAlSn
Theoretical powder XRD pattern, copper Kα. Input: a structure optimized by DFT (GGA-PBE).
Lines closer than 0.1° are merged.

Main lines, in order of rising 2θ (2θ = 5–70°):
| 2θ (°) | d/Å | I_rel | (hkl) |
| --- | --- | --- | --- |
| 12.80 | 6.916 | 37 | 0 2 0 |
| 18.78 | 4.725 | 52 | 0 2 1 |
| 22.23 | 3.999 | 51 | 1 1 0 |
| 27.57 | 3.235 | 33 | 0 0 2 |
| 29.28 | 3.050 | 68 | 0 4 1 |
| 32.05 | 2.793 | 100 | 1 3 1 |
| 35.70 | 2.515 | 78 | 1 1 2 |
| 43.32 | 2.089 | 19 | 2 0 0 |
| 51.65 | 1.770 | 26 | 1 3 3 |
| 53.16 | 1.723 | 32 | 2 4 1 |

Crystal structure
```
data_KAlSn
_chemical_formula_sum 'K4 Al4 Sn4'
_space_group_name_H-M_alt 'C m c m'
_space_group_IT_number 63
_space_group_name_Hall '-C 2c 2'
_cell_length_a 4.178
_cell_length_b 13.833
_cell_length_c 6.470
_cell_angle_alpha 90.00
_cell_angle_beta 90.00
_cell_angle_gamma 90.00
loop_
_atom_site_label
_atom_site_fract_x
_atom_site_fract_y
_atom_site_fract_z
K1 0.000 0.197 0.250
Al1 0.000 0.500 0.000
Sn1 0.000 0.081 0.750
```

=====

# K2SrAl
Theoretical powder XRD pattern, copper Kα. Input: a structure optimized by DFT (GGA-PBE).
Lines closer than 0.1° are merged.

Main lines, in order of rising 2θ (2θ = 5–70°):
| 2θ (°) | d/Å | I_rel | (hkl) |
| --- | --- | --- | --- |
| 9.35 | 9.456 | 90 | 0 0 2 |
| 21.47 | 4.138 | 95 | 0 1 3 |
| 22.72 | 3.914 | 43 | 1 0 1 |
| 28.32 | 3.152 | 45 | 0 0 6 |
| 29.20 | 3.059 | 100 | 1 1 2 |
| 32.63 | 2.745 | 44 | 0 2 0 |
| 33.58 | 2.668 | 77 | 1 1 4 |
| 40.15 | 2.246 | 19 | 1 2 1 |
| 43.75 | 2.069 | 26 | 0 2 6 |
| 47.66 | 1.908 | 21 | 1 1 8 |

Crystal structure
```
data_K2SrAl
_chemical_formula_sum 'K4 Sr2 Al2'
_space_group_name_H-M_alt 'I m m m'
_space_group_IT_number 71
_space_group_name_Hall '-I 2 2'
_cell_length_a 4.001
_cell_length_b 5.485
_cell_length_c 18.911
_cell_angle_alpha 90.00
_cell_angle_beta 90.00
_cell_angle_gamma 90.00
loop_
_atom_site_label
_atom_site_fract_x
_atom_site_fract_y
_atom_site_fract_z
K1 0.000 0.000 0.163
Sr1 0.000 0.500 0.000
Al1 0.000 0.500 0.500
```

=====

# K2SrAl
Theoretical powder XRD pattern, copper Kα. Input: a structure optimized by DFT (GGA-PBE).
Lines closer than 0.1° are merged.

Main lines, in order of rising 2θ (2θ = 5–70°):
| 2θ (°) | d/Å | I_rel | (hkl) |
| --- | --- | --- | --- |
| 7.72 | 11.454 | 96 | 0 0 1 |
| 22.83 | 3.895 | 46 | 1 0 -1 |
| 23.30 | 3.818 | 36 | 0 0 3 |
| 26.56 | 3.356 | 100 | 1 0 2 |
| 30.52 | 2.929 | 66 | 1 1 0 |
| 31.88 | 2.807 | 42 | 1 0 -3 |
| 38.21 | 2.355 | 22 | 1 0 4 |
| 38.75 | 2.324 | 36 | 1 1 3 |
| 43.71 | 2.071 | 23 | 2 0 0 |
| 51.86 | 1.763 | 21 | 1 2 2 |

Crystal structure
```
data_K2SrAl
_chemical_formula_sum 'K2 Sr1 Al1'
_space_group_name_H-M_alt 'P 1 m 1'
_space_group_IT_number 6
_space_group_name_Hall 'P -2y'
_cell_length_a 4.138
_cell_length_b 4.146
_cell_length_c 11.454
_cell_angle_alpha 90.00
_cell_angle_beta 90.11
_cell_angle_gamma 90.00
loop_
_atom_site_label
_atom_site_fract_x
_atom_site_fract_y
_atom_site_fract_z
K1 0.000 0.000 0.000
K2 0.492 0.500 0.348
Sr1 0.996 0.000 0.654
Al1 0.497 0.500 0.796
```

=====

# K2TbAlTe4
Theoretical powder XRD pattern, copper Kα. Input: a structure optimized by DFT (GGA-PBE).
Lines closer than 0.1° are merged.

Main lines, in order of rising 2θ (2θ = 5–70°):
| 2θ (°) | d/Å | I_rel | (hkl) |
| --- | --- | --- | --- |
| 12.09 | 7.319 | 33 | 1 0 1 |
| 24.32 | 3.659 | 12 | 2 0 2 |
| 27.44 | 3.251 | 53 | 0 0 4 |
| 27.76 | 3.213 | 100 | 2 2 0 |
| 35.90 | 2.501 | 13 | 2 3 1 |
| 38.55 | 2.335 | 15 | 0 4 0 |
| 39.43 | 2.285 | 69 | 2 2 4 |
| 40.76 | 2.214 | 19 | 4 0 0 |
| 47.97 | 1.897 | 14 | 0 4 4 |
| 49.84 | 1.830 | 19 | 4 0 4 |

Crystal structure
```
data_K2TbAlTe4
_chemical_formula_sum 'K8 Tb4 Al4 Te16'
_space_group_name_H-M_alt 'I m m a'
_space_group_IT_number 74
_space_group_name_Hall '-I 2b 2'
_cell_length_a 8.855
_cell_length_b 9.342
_cell_length_c 13.002
_cell_angle_alpha 90.00
_cell_angle_beta 90.00
_cell_angle_gamma 90.00
loop_
_atom_site_label
_atom_site_fract_x
_atom_site_fract_y
_atom_site_fract_z
K1 0.000 0.000 0.000
K2 0.250 0.250 0.250
Tb1 0.000 0.000 0.500
Al1 0.250 0.250 0.750
Te1 0.000 0.047 0.741
Te2 0.231 0.250 0.521
```

=====

# KAlTc
Theoretical powder XRD pattern, copper Kα. Input: a structure optimized by DFT (GGA-PBE).
Lines closer than 0.1° are merged.

Main lines, in order of rising 2θ (2θ = 5–70°):
| 2θ (°) | d/Å | I_rel | (hkl) |
| --- | --- | --- | --- |
| 11.14 | 7.942 | 98 | 0 0 2 |
| 22.39 | 3.971 | 24 | 0 0 4 |
| 33.86 | 2.647 | 27 | 0 0 6 |
| 34.09 | 2.630 | 23 | 1 1 1 |
| 37.77 | 2.382 | 100 | 1 1 3 |
| 39.67 | 2.272 | 23 | 0 2 0 |
| 44.35 | 2.043 | 18 | 1 1 5 |
| 52.99 | 1.728 | 15 | 1 1 7 |
| 53.12 | 1.724 | 14 | 0 2 6 |
| 63.18 | 1.472 | 11 | 1 1 9 |

Crystal structure
```
data_KAlTc
_chemical_formula_sum 'K4 Al4 Tc4'
_space_group_name_H-M_alt 'F m m 2'
_space_group_IT_number 42
_space_group_name_Hall 'F 2 -2'
_cell_length_a 3.294
_cell_length_b 4.544
_cell_length_c 15.884
_cell_angle_alpha 90.00
_cell_angle_beta 90.00
_cell_angle_gamma 90.00
loop_
_atom_site_label
_atom_site_fract_x
_atom_site_fract_y
_atom_site_fract_z
K1 0.000 0.000 0.000
Al1 0.000 0.000 0.308
Tc1 0.000 0.000 0.682
```

=====

# KAlTl
Theoretical powder XRD pattern, copper Kα. Input: a structure optimized by DFT (GGA-PBE).
Lines closer than 0.1° are merged.

Main lines, in order of rising 2θ (2θ = 5–70°):
| 2θ (°) | d/Å | I_rel | (hkl) |
| --- | --- | --- | --- |
| 7.25 | 12.189 | 100 | 0 0 3 |
| 22.32 | 3.982 | 53 | 1 0 1 |
| 22.72 | 3.913 | 18 | 0 1 2 |
| 28.07 | 3.179 | 23 | 1 0 7 |
| 29.65 | 3.013 | 21 | 0 1 8 |
| 33.17 | 2.701 | 23 | 1 0 10 |
| 35.08 | 2.558 | 30 | 0 1 11 |
| 38.94 | 2.313 | 27 | 1 1 0 |
| 39.66 | 2.272 | 12 | 1 1 3 |
| 49.47 | 1.842 | 12 | 1 1 12 |

Crystal structure
```
data_KAlTl
_chemical_formula_sum 'K6 Al6 Tl6'
_space_group_name_H-M_alt 'R -3 m'
_space_group_IT_number 166
_space_group_name_Hall '-R 3 2"'
_cell_length_a 4.6261
_cell_length_b 4.6261
_cell_length_c 36.5668
_cell_angle_alpha 90.00
_cell_angle_beta 90.00
_cell_angle_gamma 120.00
loop_
_atom_site_label
_atom_site_fract_x
_atom_site_fract_y
_atom_site_fract_z
K1 0.0000 0.0000 0.2192
Al1 0.0000 0.0000 0.3346
Tl1 0.0000 0.0000 0.0483
```